Starting from the GGA-PBE geometry in Alexandria, the XRD peak list of HoEr2PaFe2 was computed for a wavelength of 1.5418 Å.

Structural model:
a b c (Å): 7.956 7.956 7.956
angles (deg): 129.79 71.99 132.00
Positions (direct):
Ho (0.250, 0.250, 0.000)
Ho (0.750, 0.750, 0.000)
Er (0.202, 0.687, 0.889)
Er (0.298, 0.187, 0.485)
Er (0.702, 0.813, 0.515)
Er (0.798, 0.313, 0.111)
Pa (0.250, 0.750, 0.500)
Pa (0.750, 0.250, 0.500)
Fe (0.097, 0.304, 0.401)
Fe (0.403, 0.804, 0.207)
Fe (0.597, 0.196, 0.793)
Fe (0.903, 0.696, 0.599)

The 10 most intense peaks (10° ≤ 2θ ≤ 90°), most intense first:
d (Å), Rel. int.
2.891, 100
2.990, 85
2.336, 74
2.651, 52
3.219, 30
5.979, 26
1.891, 25
1.423, 23
1.619, 22
6.437, 21

---

Starting from the GGA-PBE geometry in Alexandria, the XRD peak list of ErFe3I12 was computed for a wavelength of 1.5418 Å.

Structural model:
a b c (Å): 15.360 15.360 8.066
angles (deg): 90.00 90.00 120.00
Positions (direct):
Er (0.333, 0.667, 0.250)
Er (0.667, 0.333, 0.750)
Fe (0.129, 0.696, 0.750)
Fe (0.304, 0.433, 0.750)
Fe (0.433, 0.129, 0.250)
Fe (0.567, 0.871, 0.750)
Fe (0.696, 0.567, 0.250)
Fe (0.871, 0.304, 0.250)
I (0.017, 0.510, 0.750)
I (0.037, 0.790, 0.750)
I (0.210, 0.246, 0.750)
I (0.240, 0.486, 0.015)
I (0.240, 0.486, 0.485)
I (0.246, 0.037, 0.250)
I (0.246, 0.760, 0.015)
I (0.246, 0.760, 0.485)
I (0.486, 0.246, 0.515)
I (0.486, 0.246, 0.985)
I (0.490, 0.507, 0.750)
I (0.493, 0.983, 0.750)
I (0.507, 0.017, 0.250)
I (0.510, 0.493, 0.250)
I (0.514, 0.754, 0.015)
I (0.514, 0.754, 0.485)
I (0.754, 0.240, 0.515)
I (0.754, 0.240, 0.985)
I (0.754, 0.963, 0.750)
I (0.760, 0.514, 0.515)
I (0.760, 0.514, 0.985)
I (0.790, 0.754, 0.250)
I (0.963, 0.210, 0.250)
I (0.983, 0.490, 0.250)

The 10 most intense peaks (10° ≤ 2θ ≤ 90°), most intense first:
d (Å), Rel. int.
3.325, 100
3.146, 90
5.562, 41
5.131, 38
4.267, 34
3.689, 34
2.781, 33
1.724, 28
1.812, 27
2.356, 25

---

Starting from the GGA-PBE geometry in Alexandria, the XRD peak list of Er12In3Fe2 was computed for a wavelength of 1.5418 Å.

Structural model:
a b c (Å): 8.373 8.373 8.373
angles (deg): 110.16 110.16 108.10
Positions (direct):
Er (0.036, 0.790, 0.247)
Er (0.210, 0.457, 0.247)
Er (0.210, 0.964, 0.753)
Er (0.304, 0.304, 0.607)
Er (0.304, 0.696, 0.000)
Er (0.457, 0.210, 0.247)
Er (0.543, 0.790, 0.753)
Er (0.696, 0.304, 0.000)
Er (0.696, 0.696, 0.393)
Er (0.790, 0.036, 0.247)
Er (0.790, 0.543, 0.753)
Er (0.964, 0.210, 0.753)
In (0.000, 0.000, 0.000)
In (0.000, 0.500, 0.500)
In (0.500, 0.000, 0.500)
Fe (0.389, 0.389, 0.000)
Fe (0.611, 0.611, 0.000)

The 10 most intense peaks (10° ≤ 2θ ≤ 90°), most intense first:
d (Å), Rel. int.
2.790, 100
2.396, 33
2.603, 27
3.038, 20
2.566, 14
2.458, 12
1.448, 12
1.564, 11
1.674, 11
1.694, 10

---

Starting from the GGA-PBE geometry in Alexandria, the XRD peak list of Er12InFe6 was computed for a wavelength of 1.5418 Å.

Structural model:
a b c (Å): 8.319 8.319 8.319
angles (deg): 109.47 109.47 109.47
Positions (direct):
Er (0.103, 0.298, 0.805)
Er (0.195, 0.492, 0.298)
Er (0.195, 0.897, 0.702)
Er (0.298, 0.195, 0.492)
Er (0.298, 0.805, 0.103)
Er (0.492, 0.298, 0.195)
Er (0.508, 0.702, 0.805)
Er (0.702, 0.195, 0.897)
Er (0.702, 0.805, 0.508)
Er (0.805, 0.103, 0.298)
Er (0.805, 0.508, 0.702)
Er (0.897, 0.702, 0.195)
In (0.000, 0.000, 0.000)
Fe (0.111, 0.500, 0.611)
Fe (0.389, 0.889, 0.500)
Fe (0.500, 0.389, 0.889)
Fe (0.500, 0.611, 0.111)
Fe (0.611, 0.111, 0.500)
Fe (0.889, 0.500, 0.389)

The 10 most intense peaks (10° ≤ 2θ ≤ 90°), most intense first:
d (Å), Rel. int.
2.567, 100
2.773, 65
3.038, 46
1.647, 41
1.558, 40
2.402, 25
1.359, 22
1.884, 22
1.117, 19
1.132, 16

---

Starting from the GGA-PBE geometry in Alexandria, the XRD peak list of Er4InFe was computed for a wavelength of 1.5418 Å.

Structural model:
a b c (Å): 7.717 7.717 5.958
angles (deg): 99.65 99.65 111.72
Positions (direct):
Er (0.056, 0.730, 0.953)
Er (0.199, 0.352, 0.614)
Er (0.270, 0.944, 0.547)
Er (0.352, 0.199, 0.114)
Er (0.648, 0.801, 0.886)
Er (0.730, 0.056, 0.453)
Er (0.801, 0.648, 0.386)
Er (0.944, 0.270, 0.047)
In (0.374, 0.626, 0.250)
In (0.626, 0.374, 0.750)
Fe (0.001, 0.999, 0.750)
Fe (0.999, 0.001, 0.250)

The 10 most intense peaks (10° ≤ 2θ ≤ 90°), most intense first:
d (Å), Rel. int.
2.679, 100
2.767, 69
2.898, 67
2.440, 49
2.359, 30
2.319, 30
3.194, 25
2.484, 24
1.613, 24
2.969, 23

---

Starting from the GGA-PBE geometry in Alexandria, the XRD peak list of Er3MgFe8 was computed for a wavelength of 1.5418 Å.

Structural model:
a b c (Å): 8.753 8.753 8.753
angles (deg): 33.58 33.58 33.58
Positions (direct):
Er (0.000, 0.000, 0.000)
Er (0.127, 0.127, 0.127)
Er (0.622, 0.622, 0.622)
Mg (0.498, 0.498, 0.498)
Fe (0.061, 0.061, 0.562)
Fe (0.061, 0.562, 0.061)
Fe (0.064, 0.563, 0.563)
Fe (0.312, 0.312, 0.312)
Fe (0.562, 0.061, 0.061)
Fe (0.563, 0.064, 0.563)
Fe (0.563, 0.563, 0.064)
Fe (0.811, 0.811, 0.811)

The 10 most intense peaks (10° ≤ 2θ ≤ 90°), most intense first:
d (Å), Rel. int.
2.155, 100
2.528, 58
1.376, 30
1.264, 22
1.459, 21
2.064, 19
4.127, 13
1.130, 9
8.251, 9
1.090, 8

---

Starting from the GGA-PBE geometry in Alexandria, the XRD peak list of Er3Mn2Fe7 was computed for a wavelength of 1.5418 Å.

Structural model:
a b c (Å): 8.546 8.546 8.546
angles (deg): 34.23 34.23 34.23
Positions (direct):
Er (0.000, 0.000, 0.000)
Er (0.141, 0.141, 0.141)
Er (0.859, 0.859, 0.859)
Mn (0.333, 0.333, 0.333)
Mn (0.667, 0.667, 0.667)
Fe (0.081, 0.581, 0.581)
Fe (0.419, 0.419, 0.919)
Fe (0.419, 0.919, 0.419)
Fe (0.500, 0.500, 0.500)
Fe (0.581, 0.081, 0.581)
Fe (0.581, 0.581, 0.081)
Fe (0.919, 0.419, 0.419)

The 10 most intense peaks (10° ≤ 2θ ≤ 90°), most intense first:
d (Å), Rel. int.
2.132, 100
2.515, 59
2.702, 57
2.169, 41
2.479, 40
1.366, 23
1.258, 21
1.486, 19
4.287, 17
1.445, 15